Entry 1:
Diffraction record for PmEr6. The powder diffractogram is simulated, not measured: it uses a DFT-relaxed cell (PBE, Alexandria) and Cu Kα, 1.54184 Å.
No peak broadening, texture or thermal motion is included.

Crystal structure
```
data_PmEr6
_chemical_formula_sum 'Pm2 Er12'
_cell_length_a 6.4740
_cell_length_b 6.4740
_cell_length_c 10.9061
_cell_angle_alpha 90.00
_cell_angle_beta 90.00
_cell_angle_gamma 90.00
_space_group_name_H-M_alt 'P 4/n b m'
_space_group_IT_number 125
loop_
_space_group_symop_operation_xyz
'x,y,z'
'-x,-y,-z'
'-y+1/2,x,z'
'y+1/2,-x,-z'
'-x+1/2,-y+1/2,z'
'x+1/2,y+1/2,-z'
'y,-x+1/2,z'
'-y,x+1/2,-z'
'x,-y+1/2,-z'
'-x,y+1/2,z'
'-y+1/2,-x+1/2,-z'
'y+1/2,x+1/2,z'
'-x+1/2,y,-z'
'x+1/2,-y,z'
'y,x,-z'
'-y,-x,z'
loop_
_atom_site_label
_atom_site_fract_x
_atom_site_fract_y
_atom_site_fract_z
Pm1 0.2500 0.7500 0.0000
Er1 0.0815 0.5815 0.3633
Er2 0.2500 0.2500 0.1419
```

The 10 most intense peaks (2θ from 5° to 70°), most intense first:
index, two_theta, I/Imax
2 0 1, 28.77, 100.0
2 1 2, 35.09, 83.9
1 1 3, 31.42, 78.7
2 1 1, 31.98, 62.9
3 1 4, 56.19, 53.0
0 0 4, 32.85, 32.6
2 0 3, 37.19, 29.1
3 3 3, 66.45, 27.8
2 2 0, 39.37, 27.8
3 1 0, 44.24, 24.0

Entry 2:
Diffraction record for Pm4Er. The powder diffractogram is simulated, not measured: it uses a DFT-relaxed cell (PBE, Alexandria) and Cu Kα, 1.54184 Å.
No peak broadening, texture or thermal motion is included.

Crystal structure
```
data_Pm4Er
_chemical_formula_sum 'Pm8 Er2'
_cell_length_a 6.2747
_cell_length_b 3.6211
_cell_length_c 14.8845
_cell_angle_alpha 90.00
_cell_angle_beta 98.02
_cell_angle_gamma 90.00
_space_group_name_H-M_alt 'C 1 2/m 1'
_space_group_IT_number 12
loop_
_space_group_symop_operation_xyz
'x,y,z'
'-x,-y,-z'
'-x,y,-z'
'x,-y,z'
'x+1/2,y+1/2,z'
'-x+1/2,-y+1/2,-z'
'-x+1/2,y+1/2,-z'
'x+1/2,-y+1/2,z'
loop_
_atom_site_label
_atom_site_fract_x
_atom_site_fract_y
_atom_site_fract_z
Pm1 0.1012 0.0000 0.3041
Pm2 0.2007 0.5000 0.1011
Er1 0.0000 0.5000 0.5000
```

The 10 most intense peaks (2θ from 5° to 70°), most intense first:
index, two_theta, I/Imax
2 0 1, 30.23, 100.0
1 1 3, 35.08, 67.3
2 2 1, 59.93, 42.9
0 0 5, 30.32, 32.9
0 2 0, 50.41, 32.1
1 1 -7, 50.52, 15.8
1 1 8, 60.05, 14.0
4 0 2, 62.87, 12.4
0 0 10, 63.07, 4.0
0 0 1, 6.00, 1.4

Entry 3:
Diffraction record for Pm3Er4. The powder diffractogram is simulated, not measured: it uses a DFT-relaxed cell (PBE, Alexandria) and Cu Kα, 1.54184 Å.
No peak broadening, texture or thermal motion is included.

Crystal structure
```
data_Pm3Er4
_chemical_formula_sum 'Pm6 Er8'
_cell_length_a 3.5659
_cell_length_b 3.5659
_cell_length_c 35.3764
_cell_angle_alpha 90.00
_cell_angle_beta 90.00
_cell_angle_gamma 90.00
_space_group_name_H-M_alt 'I 4/m m m'
_space_group_IT_number 139
_space_group_name_Hall '-I 4 2'
loop_
_atom_site_label
_atom_site_fract_x
_atom_site_fract_y
_atom_site_fract_z
Pm1 0.0000 0.0000 0.0000
Pm2 0.0000 0.0000 0.2872
Er1 0.0000 0.0000 0.1409
Er2 0.0000 0.0000 0.4282
```

The 7 most intense peaks (2θ from 5° to 70°), most intense first:
index, two_theta, I/Imax
1 0 7, 30.69, 100.0
1 1 0, 35.58, 50.6
2 0 0, 51.20, 35.9
2 1 7, 60.92, 28.6
1 0 21, 60.81, 14.0
2 0 14, 63.90, 12.2
0 0 4, 10.00, 0.9

Entry 4:
Diffraction record for Pm8Pr4Er. The powder diffractogram is simulated, not measured: it uses a DFT-relaxed cell (PBE, Alexandria) and Cu Kα, 1.54184 Å.
No peak broadening, texture or thermal motion is included.

Crystal structure
```
data_Pm8Pr4Er
_chemical_formula_sum 'Pm24 Pr12 Er3'
_cell_length_a 11.3063
_cell_length_b 11.3063
_cell_length_c 13.5153
_cell_angle_alpha 90.00
_cell_angle_beta 90.00
_cell_angle_gamma 120.00
_space_group_name_H-M_alt 'R -3 m'
_space_group_IT_number 166
_space_group_name_Hall '-R 3 2"'
loop_
_atom_site_label
_atom_site_fract_x
_atom_site_fract_y
_atom_site_fract_z
Pm1 0.0000 0.0000 0.2375
Pm2 0.0113 0.5057 0.7415
Pr1 0.0000 0.0000 0.0000
Pr2 0.0000 0.5000 0.0000
Er1 0.0000 0.0000 0.5000
```

The 10 most intense peaks (2θ from 5° to 70°), most intense first:
index, two_theta, I/Imax
2 2 0, 31.65, 100.0
0 2 4, 32.19, 93.1
2 4 4, 56.72, 36.2
4 0 4, 45.77, 34.6
6 0 0, 56.38, 18.9
2 0 8, 57.72, 16.9
0 2 1, 19.28, 13.8
2 0 2, 22.43, 12.3
4 4 0, 66.12, 11.5
0 4 8, 67.35, 9.9

Entry 5:
Diffraction record for Pm2Pr3Er. The powder diffractogram is simulated, not measured: it uses a DFT-relaxed cell (PBE, Alexandria) and Cu Kα, 1.54184 Å.
No peak broadening, texture or thermal motion is included.

Crystal structure
```
data_Pm2Pr3Er
_chemical_formula_sum 'Pm4 Pr6 Er2'
_cell_length_a 5.1953
_cell_length_b 15.5531
_cell_length_c 5.1413
_cell_angle_alpha 90.00
_cell_angle_beta 90.00
_cell_angle_gamma 90.00
_space_group_name_H-M_alt 'C m m m'
_space_group_IT_number 65
_space_group_name_Hall '-C 2 2'
loop_
_atom_site_label
_atom_site_fract_x
_atom_site_fract_y
_atom_site_fract_z
Pm1 0.0000 0.1659 0.0000
Pr1 0.0000 0.0000 0.5000
Pr2 0.0000 0.3342 0.5000
Er1 0.0000 0.5000 0.0000
```

The 8 most intense peaks (2θ from 5° to 70°), most intense first:
index, two_theta, I/Imax
1 3 1, 29.91, 100.0
2 0 0, 34.57, 34.1
3 3 1, 59.09, 29.1
2 0 2, 49.94, 24.1
0 0 2, 34.90, 16.6
1 3 3, 59.53, 14.2
2 6 2, 62.16, 12.5
2 6 0, 49.69, 12.2

Entry 6:
Diffraction record for Pm2PrEr12. The powder diffractogram is simulated, not measured: it uses a DFT-relaxed cell (PBE, Alexandria) and Cu Kα, 1.54184 Å.
No peak broadening, texture or thermal motion is included.

Crystal structure
```
data_Pm2PrEr12
_chemical_formula_sum 'Pm4 Pr2 Er24'
_cell_length_a 6.5190
_cell_length_b 6.5191
_cell_length_c 24.8463
_cell_angle_alpha 82.48
_cell_angle_beta 86.68
_cell_angle_gamma 64.18
_space_group_name_H-M_alt 'P -1'
_space_group_IT_number 2
loop_
_space_group_symop_operation_xyz
'x,y,z'
'-x,-y,-z'
loop_
_atom_site_label
_atom_site_fract_x
_atom_site_fract_y
_atom_site_fract_z
Pm1 0.0029 0.1324 0.2303
Pm2 0.4970 0.3678 0.7697
Pr1 0.2330 0.7331 0.5000
Er1 0.0032 0.5988 0.2980
Er2 0.0026 0.6650 0.1647
Er3 0.2470 0.0224 0.9599
Er4 0.2470 0.5517 0.9031
Er5 0.2489 0.6842 0.6348
Er6 0.2501 0.2113 0.5759
Er7 0.2522 0.4774 0.0401
Er8 0.2532 0.2856 0.4242
Er9 0.2527 0.8174 0.3651
Er10 0.2535 0.9485 0.0968
Er11 0.4964 0.9008 0.7023
Er12 0.4975 0.8351 0.8352
```

The 10 most intense peaks (2θ from 5° to 70°), most intense first:
index, two_theta, I/Imax
1 1 8, 31.70, 100.0
0 2 3, 31.34, 73.5
2 2 1, 32.42, 55.2
1 -1 5, 32.69, 39.6
1 3 -4, 46.70, 29.8
3 -1 7, 62.97, 29.7
3 3 9, 57.38, 18.3
2 0 13, 57.94, 15.7
4 0 0, 63.40, 14.4
-2 2 1, 52.87, 13.0

Entry 7:
Diffraction record for Pm4Pr2Er3. The powder diffractogram is simulated, not measured: it uses a DFT-relaxed cell (PBE, Alexandria) and Cu Kα, 1.54184 Å.
No peak broadening, texture or thermal motion is included.

Crystal structure
```
data_Pm4Pr2Er3
_chemical_formula_sum 'Pm4 Pr2 Er3'
_cell_length_a 3.6293
_cell_length_b 3.6293
_cell_length_c 26.8929
_cell_angle_alpha 90.00
_cell_angle_beta 90.00
_cell_angle_gamma 120.00
_space_group_name_H-M_alt 'P 3 m 1'
_space_group_IT_number 156
loop_
_space_group_symop_operation_xyz
'x,y,z'
'-y,x-y,z'
'-x+y,-x,z'
'-y,-x,z'
'-x+y,y,z'
'x,x-y,z'
loop_
_atom_site_label
_atom_site_fract_x
_atom_site_fract_y
_atom_site_fract_z
Pm1 0.0000 0.0000 0.0000
Pm2 0.0000 0.0000 0.2113
Pm3 0.3333 0.6667 0.3234
Pm4 0.3333 0.6667 0.5365
Pr1 0.0000 0.0000 0.6511
Pr2 0.0000 0.0000 0.8656
Er1 0.0000 0.0000 0.4302
Er2 0.3333 0.6667 0.1040
Er3 0.3333 0.6667 0.7600
```

The 10 most intense peaks (2θ from 5° to 70°), most intense first:
index, two_theta, I/Imax
0 1 5, 33.01, 100.0
0 1 4, 31.42, 55.5
1 0 0, 28.40, 43.1
0 0 9, 29.90, 43.0
1 1 9, 59.61, 36.6
1 1 0, 50.28, 35.0
0 1 14, 56.11, 31.9
1 0 9, 41.71, 26.5
2 0 5, 61.47, 16.8
0 1 3, 30.13, 9.8

Entry 8:
Diffraction record for Pm4PrEr. The powder diffractogram is simulated, not measured: it uses a DFT-relaxed cell (PBE, Alexandria) and Cu Kα, 1.54184 Å.
No peak broadening, texture or thermal motion is included.

Crystal structure
```
data_Pm4PrEr
_chemical_formula_sum 'Pm8 Pr2 Er2'
_cell_length_a 11.3394
_cell_length_b 5.9366
_cell_length_c 6.0859
_cell_angle_alpha 90.00
_cell_angle_beta 90.23
_cell_angle_gamma 90.00
_space_group_name_H-M_alt 'C 1 2/m 1'
_space_group_IT_number 12
loop_
_space_group_symop_operation_xyz
'x,y,z'
'-x,-y,-z'
'-x,y,-z'
'x,-y,z'
'x+1/2,y+1/2,z'
'-x+1/2,-y+1/2,-z'
'-x+1/2,y+1/2,-z'
'x+1/2,-y+1/2,z'
loop_
_atom_site_label
_atom_site_fract_x
_atom_site_fract_y
_atom_site_fract_z
Pm1 0.1732 0.0000 0.0442
Pm2 0.1745 0.5000 0.4571
Pr1 0.0000 0.5000 0.0000
Er1 0.0000 0.0000 0.5000
```

The 10 most intense peaks (2θ from 5° to 70°), most intense first:
index, two_theta, I/Imax
3 1 -1, 31.64, 100.0
3 1 1, 31.73, 99.2
0 2 0, 30.11, 60.3
0 0 2, 29.35, 52.6
3 3 1, 54.47, 43.0
0 2 2, 42.55, 38.5
6 2 0, 57.84, 18.2
1 1 -2, 34.03, 16.3
6 0 0, 48.15, 15.7
3 1 3, 53.63, 15.0

Entry 9:
Diffraction record for Pm12Pr2Er. The powder diffractogram is simulated, not measured: it uses a DFT-relaxed cell (PBE, Alexandria) and Cu Kα, 1.54184 Å.
No peak broadening, texture or thermal motion is included.

Crystal structure
```
data_Pm12Pr2Er
_chemical_formula_sum 'Pm24 Pr4 Er2'
_cell_length_a 6.5759
_cell_length_b 6.5759
_cell_length_c 25.4204
_cell_angle_alpha 90.00
_cell_angle_beta 90.00
_cell_angle_gamma 90.00
_space_group_name_H-M_alt 'P 4/n b m'
_space_group_IT_number 125
loop_
_space_group_symop_operation_xyz
'x,y,z'
'-x,-y,-z'
'-y+1/2,x,z'
'y+1/2,-x,-z'
'-x+1/2,-y+1/2,z'
'x+1/2,y+1/2,-z'
'y,-x+1/2,z'
'-y,x+1/2,-z'
'x,-y+1/2,-z'
'-x,y+1/2,z'
'-y+1/2,-x+1/2,-z'
'y+1/2,x+1/2,z'
'-x+1/2,y,-z'
'x+1/2,-y,z'
'y,x,-z'
'-y,-x,z'
loop_
_atom_site_label
_atom_site_fract_x
_atom_site_fract_y
_atom_site_fract_z
Pm1 0.0639 0.5639 0.1129
Pm2 0.0826 0.5826 0.5618
Pm3 0.2500 0.2500 0.2140
Pm4 0.2500 0.2500 0.3380
Pr1 0.2500 0.7500 0.2669
Er1 0.2500 0.7500 0.0000
```

The 10 most intense peaks (2θ from 5° to 70°), most intense first:
index, two_theta, I/Imax
1 1 7, 31.24, 100.0
2 0 2, 28.03, 41.6
2 0 4, 30.61, 36.4
0 0 9, 31.68, 32.1
2 2 0, 38.73, 30.9
2 0 3, 29.13, 29.6
2 1 4, 33.58, 26.1
3 1 9, 54.82, 25.5
1 1 2, 20.34, 23.7
2 1 5, 35.26, 23.4

Entry 10:
Diffraction record for Pm3PrEr8. The powder diffractogram is simulated, not measured: it uses a DFT-relaxed cell (PBE, Alexandria) and Cu Kα, 1.54184 Å.
No peak broadening, texture or thermal motion is included.

Crystal structure
```
data_Pm3PrEr8
_chemical_formula_sum 'Pm6 Pr2 Er16'
_cell_length_a 6.3957
_cell_length_b 11.3423
_cell_length_c 11.4028
_cell_angle_alpha 90.00
_cell_angle_beta 90.00
_cell_angle_gamma 90.00
_space_group_name_H-M_alt 'I m m m'
_space_group_IT_number 71
_space_group_name_Hall '-I 2 2'
loop_
_atom_site_label
_atom_site_fract_x
_atom_site_fract_y
_atom_site_fract_z
Pm1 0.0000 0.0000 0.0000
Pm2 0.0000 0.5000 0.2519
Pr1 0.0000 0.0000 0.5000
Er1 0.0000 0.1716 0.2497
Er2 0.2492 0.2521 0.5000
```

The 10 most intense peaks (2θ from 5° to 70°), most intense first:
index, two_theta, I/Imax
1 3 2, 31.66, 100.0
2 0 2, 32.10, 79.2
0 0 4, 31.38, 60.2
2 2 2, 35.88, 48.5
2 6 4, 66.12, 28.1
3 3 2, 51.77, 25.2
0 4 2, 35.36, 24.7
2 6 0, 56.55, 22.5
2 2 4, 45.55, 22.3
1 3 0, 27.40, 20.7

Entry 11:
Diffraction record for Pm12Pr2Er5. The powder diffractogram is simulated, not measured: it uses a DFT-relaxed cell (PBE, Alexandria) and Cu Kα, 1.54184 Å.
No peak broadening, texture or thermal motion is included.

Crystal structure
```
data_Pm12Pr2Er5
_chemical_formula_sum 'Pm24 Pr4 Er10'
_cell_length_a 13.0255
_cell_length_b 11.6953
_cell_length_c 9.4254
_cell_angle_alpha 90.00
_cell_angle_beta 116.26
_cell_angle_gamma 90.00
_space_group_name_H-M_alt 'C 1 2/m 1'
_space_group_IT_number 12
loop_
_space_group_symop_operation_xyz
'x,y,z'
'-x,-y,-z'
'-x,y,-z'
'x,-y,z'
'x+1/2,y+1/2,z'
'-x+1/2,-y+1/2,-z'
'-x+1/2,y+1/2,-z'
'x+1/2,-y+1/2,z'
loop_
_atom_site_label
_atom_site_fract_x
_atom_site_fract_y
_atom_site_fract_z
Pm1 0.0785 0.0000 0.2822
Pm2 0.1081 0.2196 0.9177
Pm3 0.1171 0.5000 0.4403
Pm4 0.1952 0.2552 0.3015
Pr1 0.0000 0.2258 0.5000
Er1 0.0000 0.5000 0.0000
Er2 0.1904 0.0000 0.7352
Er3 0.1958 0.5000 0.8383
```

The 10 most intense peaks (2θ from 5° to 70°), most intense first:
index, two_theta, I/Imax
4 2 -1, 31.59, 100.0
2 2 -3, 32.37, 52.7
0 4 0, 30.58, 50.4
2 0 2, 31.13, 34.4
3 1 -3, 30.79, 27.0
1 3 2, 34.39, 22.7
2 4 2, 44.20, 21.7
1 1 2, 26.52, 16.7
4 6 -1, 54.99, 16.6
6 2 1, 55.17, 14.1

Entry 12:
Diffraction record for Pm2Pr7Er. The powder diffractogram is simulated, not measured: it uses a DFT-relaxed cell (PBE, Alexandria) and Cu Kα, 1.54184 Å.
No peak broadening, texture or thermal motion is included.

Crystal structure
```
data_Pm2Pr7Er
_chemical_formula_sum 'Pm4 Pr14 Er2'
_cell_length_a 8.8561
_cell_length_b 17.0340
_cell_length_c 5.5570
_cell_angle_alpha 90.00
_cell_angle_beta 90.00
_cell_angle_gamma 90.00
_space_group_name_H-M_alt 'C m m m'
_space_group_IT_number 65
_space_group_name_Hall '-C 2 2'
loop_
_atom_site_label
_atom_site_fract_x
_atom_site_fract_y
_atom_site_fract_z
Pm1 0.0000 0.2049 0.0000
Pr1 0.0000 0.0000 0.0000
Pr2 0.0000 0.2843 0.5000
Pr3 0.1809 0.3897 0.0000
Er1 0.0000 0.5000 0.5000
```

The 10 most intense peaks (2θ from 5° to 70°), most intense first:
index, two_theta, I/Imax
1 5 1, 32.44, 100.0
3 1 1, 34.81, 54.5
2 4 0, 29.09, 53.0
0 0 2, 32.22, 46.6
0 0 1, 15.95, 37.8
2 4 2, 43.96, 34.7
0 4 1, 26.37, 27.9
5 5 1, 61.30, 25.0
3 9 1, 60.44, 23.9
1 1 1, 19.57, 21.6